Record 1
Tm2PaO6: simulated PXRD pattern (Cu Ka), based on a structure optimized by DFT (GGA-PBE).

Cell and atoms:
```
Tm2PaO6
1.0
-1.908 2.663 5.653
1.908 -2.663 5.653
1.908 2.663 -5.653
Tm Pa O
2 1 6
Direct
0.168 0.168 0.000 Tm
0.832 0.832 0.000 Tm
0.500 0.500 0.000 Pa
0.090 0.337 0.753 O
0.257 0.000 0.257 O
0.416 0.663 0.753 O
0.584 0.337 0.247 O
0.743 0.000 0.743 O
0.910 0.663 0.247 O
```

Main lines, by angle (2θ = 10–90°):
| two_theta | Rel. int. |
| --- | --- |
| 28.78 | 100 |
| 29.03 | 98 |
| 33.41 | 46 |
| 33.66 | 22 |
| 47.66 | 17 |
| 48.16 | 66 |
| 48.30 | 16 |
| 56.77 | 31 |
| 57.21 | 45 |
| 57.38 | 15 |
| 78.12 | 18 |
| 80.54 | 13 |



Record 2
Tl3HgP2O8: simulated PXRD pattern (Cu Ka), based on a structure optimized by DFT (GGA-PBE).

Cell and atoms:
```
Tl3HgP2O8
1.0
5.772 0.000 0.000
-2.886 4.998 0.000
0.000 0.000 7.830
Tl Hg P O
3 1 2 8
Direct
0.000 0.000 0.000 Tl
0.333 0.667 0.726 Tl
0.667 0.333 0.274 Tl
0.000 0.000 0.500 Hg
0.333 0.667 0.239 P
0.667 0.333 0.761 P
0.185 0.370 0.305 O
0.185 0.815 0.305 O
0.333 0.667 0.043 O
0.370 0.185 0.695 O
0.630 0.815 0.305 O
0.667 0.333 0.957 O
0.815 0.185 0.695 O
0.815 0.630 0.695 O
```

Main lines, by angle (2θ = 10–90°):
| two_theta | Rel. int. |
| --- | --- |
| 21.09 | 32 |
| 28.97 | 100 |
| 30.99 | 84 |
| 37.79 | 17 |
| 42.93 | 41 |
| 53.88 | 34 |
| 55.12 | 17 |
| 56.83 | 26 |
| 64.59 | 13 |
| 72.30 | 16 |
| 74.83 | 12 |
| 88.94 | 10 |



Record 3
Li2Mn2Se: simulated PXRD pattern (Cu Ka), based on a structure optimized by DFT (GGA-PBE).

Cell and atoms:
```
Li2Mn2Se
1.0
3.085 0.000 0.000
0.000 3.085 0.000
0.000 0.000 16.733
Li Mn Se
4 4 2
Direct
0.000 0.000 0.100 Li
0.000 0.000 0.900 Li
0.500 0.500 0.400 Li
0.500 0.500 0.600 Li
0.000 0.500 0.250 Mn
0.000 0.500 0.750 Mn
0.500 0.000 0.250 Mn
0.500 0.000 0.750 Mn
0.000 0.000 0.500 Se
0.500 0.500 0.000 Se
```

Main lines, by angle (2θ = 10–90°):
| two_theta | Rel. int. |
| --- | --- |
| 10.57 | 15 |
| 21.24 | 100 |
| 29.45 | 26 |
| 33.19 | 25 |
| 39.74 | 18 |
| 42.85 | 68 |
| 43.25 | 16 |
| 53.32 | 30 |
| 59.98 | 13 |
| 64.38 | 16 |
| 71.00 | 15 |
| 76.79 | 11 |



Record 4
Tb5PrSm: simulated PXRD pattern (Cu Ka), based on a structure optimized by DFT (GGA-PBE).

Cell and atoms:
```
Tb5PrSm
1.0
5.910 -3.424 0.000
5.910 3.424 0.000
-4.168 0.000 11.497
Tb Pr Sm
10 2 2
Direct
0.085 0.355 0.750 Tb
0.089 0.911 0.750 Tb
0.150 0.694 0.000 Tb
0.306 0.850 0.500 Tb
0.355 0.085 0.250 Tb
0.645 0.915 0.750 Tb
0.694 0.150 0.500 Tb
0.850 0.306 0.000 Tb
0.911 0.089 0.250 Tb
0.915 0.645 0.250 Tb
0.472 0.528 0.250 Pr
0.528 0.472 0.750 Pr
0.000 0.500 0.500 Sm
0.500 0.000 0.000 Sm
```

Main lines, by angle (2θ = 10–90°):
| two_theta | Rel. int. |
| --- | --- |
| 26.07 | 29 |
| 30.23 | 100 |
| 30.39 | 64 |
| 30.67 | 97 |
| 31.12 | 92 |
| 32.22 | 23 |
| 33.03 | 41 |
| 35.19 | 36 |
| 45.96 | 21 |
| 54.50 | 17 |
| 56.04 | 24 |
| 56.25 | 18 |



Record 5
K4CrH6: simulated PXRD pattern (Cu Ka), based on a structure optimized by DFT (GGA-PBE).

Cell and atoms:
```
K4CrH6
1.0
7.771 0.000 0.000
0.000 7.771 0.000
0.000 0.000 7.826
K Cr H
8 2 12
Direct
0.208 0.292 0.250 K
0.208 0.292 0.750 K
0.292 0.792 0.250 K
0.292 0.792 0.750 K
0.708 0.208 0.250 K
0.708 0.208 0.750 K
0.792 0.708 0.250 K
0.792 0.708 0.750 K
0.000 0.000 0.000 Cr
0.500 0.500 0.500 Cr
0.000 0.000 0.226 H
0.000 0.000 0.774 H
0.039 0.775 0.000 H
0.225 0.039 0.000 H
0.275 0.539 0.500 H
0.461 0.275 0.500 H
0.500 0.500 0.274 H
0.500 0.500 0.726 H
0.539 0.725 0.500 H
0.725 0.461 0.500 H
0.775 0.961 0.000 H
0.961 0.225 0.000 H
```

Main lines, by angle (2θ = 10–90°):
| two_theta | Rel. int. |
| --- | --- |
| 16.09 | 75 |
| 22.73 | 20 |
| 22.89 | 25 |
| 25.63 | 31 |
| 27.99 | 16 |
| 28.09 | 22 |
| 32.47 | 100 |
| 32.59 | 41 |
| 34.52 | 29 |
| 36.56 | 20 |
| 48.26 | 20 |
| 54.00 | 19 |



Record 6
Li4InO3: simulated PXRD pattern (Cu Ka), based on a structure optimized by DFT (GGA-PBE).

Cell and atoms:
```
Li4InO3
1.0
5.357 -2.600 0.000
5.357 2.600 0.000
-2.407 0.000 6.584
Li In O
8 2 6
Direct
0.044 0.613 0.098 Li
0.102 0.416 0.397 Li
0.153 0.847 0.500 Li
0.238 0.566 0.789 Li
0.416 0.102 0.897 Li
0.566 0.238 0.289 Li
0.613 0.044 0.598 Li
0.847 0.153 0.000 Li
0.462 0.801 0.225 In
0.801 0.462 0.725 In
0.167 0.191 0.093 O
0.191 0.167 0.593 O
0.434 0.457 0.557 O
0.457 0.434 0.057 O
0.829 0.833 0.835 O
0.833 0.829 0.335 O
```

Main lines, by angle (2θ = 10–90°):
| two_theta | Rel. int. |
| --- | --- |
| 17.63 | 79 |
| 19.21 | 35 |
| 21.69 | 100 |
| 25.23 | 74 |
| 26.79 | 57 |
| 27.09 | 36 |
| 30.72 | 83 |
| 35.69 | 23 |
| 37.17 | 26 |
| 38.19 | 34 |
| 39.24 | 31 |
| 42.74 | 26 |